Diffraction record for Ga6Ni5. The powder diffractogram is simulated, not measured: it uses a crystal structure in Alexandria, relaxed with PBE and Cu Kα X-rays.
Kinematic intensities with the Lorentz-polarization factor, no thermal factor.

Top 8 peaks for 10 to 90 degrees two-theta, most intense first:
two_theta, intensity
44.1, 100.0
44.6, 24.8
45.1, 23.1
81.8, 14.9
65.3, 14.4
82.6, 13.5
63.0, 7.9
80.4, 7.5

Cell and atoms:
Cell: 7.012 7.012 7.012 Å, 146.30 130.24 61.45°
Sites, in units of the cell vectors:
Ga 0.081 0.340 0.741
Ga 0.231 0.000 0.231
Ga 0.401 0.660 0.741
Ga 0.599 0.340 0.259
Ga 0.769 0.000 0.769
Ga 0.919 0.660 0.259
Ni 0.174 0.174 0.000
Ni 0.333 0.833 0.500
Ni 0.500 0.500 0.000
Ni 0.667 0.167 0.500
Ni 0.826 0.826 0.000